(1)
Diffraction record for SmVO4. The XRD peak list is theoretical, not measured: it uses a structure optimized by DFT (PBE+U) and CuKα.
Peak positions follow from Bragg's law for the DFT cell and can differ from measured ones.

Peak list (8 most intense, 10 to 90 degrees two-theta, in order of rising 2θ)
(hkl)  2θ/deg  d_spacing  intensity
1 0 1  18.30  4.849  36
2 0 0  24.19  3.679  100
1 1 2  32.68  2.740  69
2 2 0  34.48  2.602  21
3 0 1  39.30  2.292  15
3 1 2  48.24  1.887  59
4 0 0  49.55  1.840  16
3 3 2  60.63  1.527  17

Atomic structure:
abc: 7.3582 7.3582 6.4459
angles: 90.00 90.00 90.00
Space group I4_1/amd (No. 141, origin choice 2)
Inequivalent atoms, fractional coordinates:
Sm 0.0000 0.2500 0.3750 (multiplicity 4)
V 0.0000 0.2500 0.8750 (multiplicity 4)
O 0.0000 0.0682 0.7019 (multiplicity 16)


(2)
Diffraction record for SmVO4. The XRD peak list is theoretical, not measured: it uses a structure optimized by DFT (PBE+U) and CuKα.
Peak positions follow from Bragg's law for the DFT cell and can differ from measured ones.

Peak list (8 most intense, 10 to 90 degrees two-theta, in order of rising 2θ)
(hkl)  2θ/deg  d_spacing  intensity
1 0 1  18.83  4.713  26
1 1 2  28.93  3.086  100
0 0 4  30.95  2.889  14
2 0 0  34.76  2.581  18
2 1 1  39.82  2.264  15
2 0 4  47.22  1.925  28
1 1 6  53.82  1.703  19
1 3 2  58.78  1.571  30

Atomic structure:
abc: 5.1616 5.1616 11.5577
angles: 90.00 90.00 90.00
Space group I4_1/a (No. 88, origin choice 2)
Inequivalent atoms, fractional coordinates:
Sm 0.0000 0.2500 0.1250 (multiplicity 4)
V 0.0000 0.2500 0.6250 (multiplicity 4)
O 0.1428 0.0013 0.2949 (multiplicity 16)


(3)
Diffraction record for SmVO3. The XRD peak list is theoretical, not measured: it uses a structure optimized by DFT (PBE+U) and CuKα.
Peak positions follow from Bragg's law for the DFT cell and can differ from measured ones.

Peak list (8 most intense, 10 to 90 degrees two-theta, in order of rising 2θ)
(hkl)  2θ/deg  d_spacing  intensity
1 0 0  22.78  3.904  23
1 1 0  32.43  2.761  100
1 1 1  40.00  2.254  25
2 0 0  46.52  1.952  32
2 1 0  52.40  1.746  12
2 1 1  57.85  1.594  38
2 2 0  67.91  1.380  19
3 1 0  77.28  1.235  16

Atomic structure:
abc: 3.9041 3.9041 3.9041
angles: 90.00 90.00 90.00
Space group Pm-3m (No. 221)
Inequivalent atoms, fractional coordinates:
Sm 0.0000 0.0000 0.0000 (multiplicity 1)
V 0.5000 0.5000 0.5000 (multiplicity 1)
O 0.0000 0.5000 0.5000 (multiplicity 3)